Starting from a cell relaxed with PBE, the PXRD pattern of HfSi2Ni2 was simulated for Cu Ka.
Peak positions follow from Bragg's law for the DFT cell and can differ from measured ones.

Main lines, by angle (5° ≤ 2θ ≤ 70°):
2θ = 25.4°, d 3.501, rel. 54
2θ = 36.7°, d 2.447, rel. 53
2θ = 37.2°, d 2.420, rel. 18
2θ = 38.7°, d 2.328, rel. 100
2θ = 48.5°, d 1.877, rel. 35
2θ = 53.2°, d 1.721, rel. 20
2θ = 62.3°, d 1.490, rel. 23
2θ = 68.0°, d 1.379, rel. 16

Atomic structure:
```
5
Lattice="-1.877 1.877 4.840 1.877 -1.877 4.840 1.877 1.877 -4.840" Properties=species:S:1:pos:R:3 pbc="T T T"
Hf 0.000 0.000 0.000
Si 0.000 0.000 3.687
Si 0.000 0.000 5.993
Ni 1.877 0.000 2.420
Ni 0.000 1.877 2.420
```

=====

Starting from a cell relaxed with PBE, the PXRD pattern of Hf3Si3Ni2 was simulated for Cu Ka.
Peak positions follow from Bragg's law for the DFT cell and can differ from measured ones.

Main lines, by angle (5° ≤ 2θ ≤ 70°):
2θ = 25.7°, d 3.465, rel. 27
2θ = 27.5°, d 3.240, rel. 38
2θ = 36.6°, d 2.457, rel. 80
2θ = 37.4°, d 2.402, rel. 100
2θ = 39.4°, d 2.286, rel. 25
2θ = 41.8°, d 2.163, rel. 33
2θ = 47.0°, d 1.932, rel. 31
2θ = 63.0°, d 1.476, rel. 21

Atomic structure:
```
16
Lattice="1.932 -4.925 0.000 1.932 4.925 0.000 0.000 0.000 12.906" Properties=species:S:1:pos:R:3 pbc="T T T"
Hf 1.932 4.204 7.970
Hf 1.932 4.204 11.388
Hf 1.932 1.324 9.679
Hf 1.932 -1.324 3.226
Hf 1.932 -4.204 1.518
Hf 1.932 -4.204 4.935
Si 1.932 1.564 3.226
Si 1.932 1.103 6.978
Si 1.932 1.103 12.380
Si 1.932 -1.103 0.525
Si 1.932 -1.103 5.928
Si 1.932 -1.564 9.679
Ni 1.932 2.776 1.152
Ni 1.932 2.776 5.301
Ni 1.932 -2.776 7.604
Ni 1.932 -2.776 11.754
```

=====

Starting from a cell relaxed with PBE, the PXRD pattern of Hf2Ni2Sn was simulated for Cu Ka.
Peak positions follow from Bragg's law for the DFT cell and can differ from measured ones.

Main lines, by angle (5° ≤ 2θ ≤ 70°):
2θ = 28.2°, d 3.161, rel. 27
2θ = 31.9°, d 2.808, rel. 17
2θ = 36.7°, d 2.448, rel. 43
2θ = 38.9°, d 2.313, rel. 100
2θ = 40.3°, d 2.235, rel. 50
2θ = 54.0°, d 1.697, rel. 16
2θ = 62.1°, d 1.495, rel. 26
2θ = 69.6°, d 1.352, rel. 18

Atomic structure:
```
20
Lattice="7.069 0.000 0.000 0.000 7.069 0.000 0.000 0.000 6.787" Properties=species:S:1:pos:R:3 pbc="T T T"
Hf 1.077 1.077 0.000
Hf 1.279 1.279 3.393
Hf 2.256 4.813 0.000
Hf 2.458 4.611 3.393
Hf 4.611 2.458 3.393
Hf 4.813 2.256 0.000
Hf 5.790 5.790 3.393
Hf 5.992 5.992 0.000
Ni 0.893 6.176 1.930
Ni 0.893 6.176 4.857
Ni 2.642 2.642 1.463
Ni 2.642 2.642 5.324
Ni 4.427 4.427 1.463
Ni 4.427 4.427 5.324
Ni 6.176 0.893 1.930
Ni 6.176 0.893 4.857
Sn 0.000 3.534 1.697
Sn 0.000 3.534 5.090
Sn 3.534 0.000 1.697
Sn 3.534 0.000 5.090
```

=====

Starting from a cell relaxed with PBE, the PXRD pattern of Hf5NiSn3 was simulated for Cu Ka.
Peak positions follow from Bragg's law for the DFT cell and can differ from measured ones.

Main lines, by angle (5° ≤ 2θ ≤ 70°):
2θ = 31.8°, d 2.810, rel. 22
2θ = 35.4°, d 2.533, rel. 97
2θ = 36.3°, d 2.478, rel. 65
2θ = 37.2°, d 2.418, rel. 100
2θ = 52.9°, d 1.731, rel. 26
2θ = 56.2°, d 1.637, rel. 15
2θ = 57.5°, d 1.603, rel. 24
2θ = 58.9°, d 1.569, rel. 13

Atomic structure:
```
18
Lattice="8.584 0.000 0.000 -4.292 7.434 0.000 0.000 0.000 5.854" Properties=species:S:1:pos:R:3 pbc="T T T"
Hf -1.087 1.882 1.463
Hf -3.205 5.552 4.390
Hf 2.173 0.000 1.463
Hf 1.087 1.882 4.390
Hf 0.000 4.956 0.000
Hf 0.000 4.956 2.927
Hf 4.292 2.478 0.000
Hf 4.292 2.478 2.927
Hf 6.411 0.000 4.390
Hf 3.205 5.552 1.463
Ni 0.000 0.000 0.000
Ni 0.000 0.000 2.927
Sn -1.687 2.923 4.390
Sn -2.604 4.511 1.463
Sn 3.375 0.000 4.390
Sn 1.687 2.923 1.463
Sn 5.209 0.000 1.463
Sn 2.604 4.511 4.390
```

=====

Starting from a cell relaxed with PBE, the PXRD pattern of Hf2Ni2Sn was simulated for Cu Ka.
Peak positions follow from Bragg's law for the DFT cell and can differ from measured ones.

Main lines, by angle (5° ≤ 2θ ≤ 70°):
2θ = 28.3°, d 3.158, rel. 27
2θ = 36.8°, d 2.445, rel. 41
2θ = 39.0°, d 2.311, rel. 100
2θ = 40.4°, d 2.233, rel. 47
2θ = 54.1°, d 1.695, rel. 16
2θ = 60.6°, d 1.529, rel. 16
2θ = 62.1°, d 1.494, rel. 24
2θ = 69.6°, d 1.350, rel. 19

Atomic structure:
```
10
Lattice="7.062 0.000 0.000 0.000 7.062 0.000 0.000 0.000 3.390" Properties=species:S:1:pos:R:3 pbc="T T T"
Hf 1.180 2.351 0.000
Hf 2.351 5.882 0.000
Hf 4.711 1.180 0.000
Hf 5.882 4.711 0.000
Ni 0.886 4.417 1.695
Ni 2.645 0.886 1.695
Ni 4.417 6.177 1.695
Ni 6.177 2.645 1.695
Sn 0.000 0.000 1.695
Sn 3.531 3.531 1.695
```

=====

Starting from a cell relaxed with PBE, the PXRD pattern of Hf2TcNi was simulated for Cu Ka.
Peak positions follow from Bragg's law for the DFT cell and can differ from measured ones.

Main lines, by angle (5° ≤ 2θ ≤ 70°):
2θ = 23.8°, d 3.732, rel. 1
2θ = 27.6°, d 3.232, rel. 16
2θ = 39.4°, d 2.286, rel. 100
2θ = 46.6°, d 1.949, rel. 1
2θ = 48.8°, d 1.866, rel. 5
2θ = 57.0°, d 1.616, rel. 17
2θ = 64.5°, d 1.445, rel. 7

Atomic structure:
```
4
Lattice="0.000 3.232 3.232 3.232 0.000 3.232 3.232 3.232 0.000" Properties=species:S:1:pos:R:3 pbc="T T T"
Hf 1.616 1.616 1.616
Hf 4.848 4.848 4.848
Tc 0.000 0.000 0.000
Ni 3.232 3.232 3.232
```

=====

Starting from a cell relaxed with PBE, the PXRD pattern of Hf2TiNi3 was simulated for Cu Ka.
Peak positions follow from Bragg's law for the DFT cell and can differ from measured ones.

Main lines, by angle (5° ≤ 2θ ≤ 70°):
2θ = 24.6°, d 3.621, rel. 9
2θ = 28.2°, d 3.165, rel. 11
2θ = 28.8°, d 3.101, rel. 18
2θ = 40.7°, d 2.215, rel. 100
2θ = 40.9°, d 2.207, rel. 28
2θ = 41.5°, d 2.178, rel. 23
2θ = 58.3°, d 1.583, rel. 9
2θ = 59.6°, d 1.550, rel. 13

Atomic structure:
```
48
Lattice="0.000 6.330 13.070 4.414 0.000 13.070 4.414 6.330 0.000" Properties=species:S:1:pos:R:3 pbc="T T T"
Hf 5.640 4.754 7.846
Hf 3.310 1.193 9.802
Hf 5.640 4.740 11.759
Hf 3.310 4.747 5.627
Hf 7.847 7.905 14.381
Hf 5.517 4.358 16.337
Hf 7.847 7.919 18.294
Hf 5.517 7.912 12.162
Hf 3.310 4.747 13.978
Hf 0.981 4.740 7.846
Hf 3.310 8.302 9.802
Hf 0.981 4.754 11.759
Hf 5.517 7.912 20.513
Hf 3.188 7.919 14.381
Hf 5.517 11.466 16.337
Hf 3.188 7.905 18.294
Ti 3.310 4.747 1.101
Ti 1.103 1.582 3.267
Ti 5.517 7.912 7.636
Ti 3.310 4.747 9.802
Ti 5.517 7.912 16.337
Ti 3.310 4.747 18.504
Ti 7.724 11.077 22.872
Ti 5.517 7.912 25.039
Ni 5.172 2.945 9.759
Ni 5.501 6.256 5.753
Ni 7.708 6.404 12.288
Ni 5.501 3.239 13.851
Ni 3.220 3.024 7.724
Ni 7.379 6.110 16.381
Ni 5.172 6.550 9.846
Ni 3.401 3.024 11.881
Ni 1.120 3.239 5.753
Ni 5.608 6.189 14.259
Ni 3.401 6.471 7.724
Ni 1.449 2.945 9.846
Ni 7.379 9.715 16.294
Ni 5.427 6.189 18.416
Ni 3.220 6.471 11.881
Ni 7.708 9.421 20.386
Ni 5.427 9.635 14.259
Ni 3.656 6.110 16.294
Ni 1.449 6.550 9.759
Ni 5.608 9.635 18.416
Ni 3.327 9.421 12.288
Ni 1.120 6.256 13.851
Ni 3.327 6.404 20.386
Ni 3.656 9.715 16.381
```

=====

Starting from a cell relaxed with PBE, the PXRD pattern of Hf2P2O9 was simulated for Cu Ka.
Peak positions follow from Bragg's law for the DFT cell and can differ from measured ones.

Main lines, by angle (5° ≤ 2θ ≤ 70°):
2θ = 16.0°, d 5.544, rel. 100
2θ = 25.8°, d 3.451, rel. 36
2θ = 26.6°, d 3.346, rel. 40
2θ = 26.9°, d 3.312, rel. 41
2θ = 27.0°, d 3.296, rel. 25
2θ = 35.8°, d 2.506, rel. 17
2θ = 38.2°, d 2.354, rel. 18
2θ = 38.3°, d 2.348, rel. 22

Atomic structure:
```
26
Lattice="6.903 -3.312 0.000 6.903 3.312 0.000 -6.770 0.000 7.576" Properties=species:S:1:pos:R:3 pbc="T T T"
Hf -1.946 0.000 3.055
Hf -1.496 0.000 6.547
Hf 8.532 0.000 1.028
Hf 8.982 0.000 4.521
P 2.072 0.000 0.316
P 1.128 0.000 5.028
P 5.909 0.000 2.547
P 4.964 0.000 7.260
O -1.473 2.051 6.507
O -5.330 0.000 6.478
O -2.865 0.000 4.969
O 1.855 1.256 4.572
O -0.359 0.000 4.513
O 3.617 0.000 0.182
O 8.509 2.051 1.069
O 5.182 1.256 3.004
O 0.812 0.000 6.567
O 6.224 0.000 1.009
O 1.855 -1.256 4.572
O -1.473 -2.051 6.507
O 3.419 0.000 7.394
O 7.396 0.000 3.063
O 5.182 -1.256 3.004
O 9.901 0.000 2.607
O 12.366 0.000 1.097
O 8.509 -2.051 1.069
```

=====

Starting from a cell relaxed with PBE, the PXRD pattern of Hf2P2O9 was simulated for Cu Ka.
Peak positions follow from Bragg's law for the DFT cell and can differ from measured ones.

Main lines, by angle (5° ≤ 2θ ≤ 70°):
2θ = 14.9°, d 5.947, rel. 100
2θ = 20.4°, d 4.361, rel. 69
2θ = 21.7°, d 4.094, rel. 35
2θ = 22.5°, d 3.955, rel. 90
2θ = 25.3°, d 3.517, rel. 44
2θ = 26.8°, d 3.332, rel. 85
2θ = 34.6°, d 2.593, rel. 84
2θ = 52.5°, d 1.744, rel. 63

Atomic structure:
```
26
Lattice="3.332 -4.361 0.000 3.332 4.361 0.000 0.000 0.000 11.894" Properties=species:S:1:pos:R:3 pbc="T T T"
Hf 3.332 2.565 11.162
Hf 3.332 1.796 5.215
Hf 3.332 -1.796 6.680
Hf 3.332 -2.565 0.732
P 3.332 3.437 7.697
P 3.332 0.924 1.750
P 3.332 -0.924 10.144
P 3.332 -3.437 4.197
O 0.000 0.000 0.000
O 2.160 2.705 6.937
O 3.332 3.793 4.464
O 2.160 1.656 0.990
O 3.332 3.130 9.180
O 3.332 1.231 3.233
O 4.504 2.705 6.937
O 3.332 0.568 10.411
O 4.504 1.656 0.990
O 3.332 0.000 5.947
O 2.160 -1.656 10.905
O 3.332 -0.568 1.483
O 2.160 -2.705 4.957
O 3.332 -1.231 8.661
O 3.332 -3.130 2.714
O 4.504 -1.656 10.905
O 3.332 -3.793 7.431
O 4.504 -2.705 4.957
```

=====

Starting from a cell relaxed with PBE, the PXRD pattern of HfP2O10 was simulated for Cu Ka.
Peak positions follow from Bragg's law for the DFT cell and can differ from measured ones.

Main lines, by angle (5° ≤ 2θ ≤ 70°):
2θ = 7.3°, d 12.172, rel. 100
2θ = 15.2°, d 5.827, rel. 60
2θ = 19.2°, d 4.627, rel. 27
2θ = 19.8°, d 4.485, rel. 20
2θ = 20.3°, d 4.368, rel. 28
2θ = 23.8°, d 3.732, rel. 22
2θ = 25.4°, d 3.507, rel. 21
2θ = 26.9°, d 3.318, rel. 21

Atomic structure:
```
26
Lattice="5.404 0.000 0.000 0.000 6.636 0.000 -1.941 0.000 12.172" Properties=species:S:1:pos:R:3 pbc="T T T"
Hf 0.323 0.000 4.503
Hf 3.139 3.318 7.669
P 0.460 3.325 5.388
P 0.387 3.675 9.951
P 3.075 0.356 2.221
P 3.002 0.007 6.784
O -0.687 3.318 6.419
O -0.974 3.393 9.337
O 1.009 1.820 0.123
O 0.350 4.583 4.503
O 0.366 2.068 4.502
O 1.285 3.084 1.659
O 0.402 5.171 10.422
O 1.922 0.014 3.147
O 0.631 2.914 11.298
O 1.654 0.014 6.036
O 1.809 3.333 6.136
O 2.831 6.232 0.874
O 1.541 3.332 9.025
O 3.060 1.853 1.750
O 2.178 6.402 10.513
O 3.097 5.386 7.671
O 3.113 1.265 7.669
O 2.453 5.139 12.049
O 4.437 0.074 2.835
O 4.150 0.000 5.753
```